This entry pairs a crystal structure of Tb12Ho5Tm2 with its theoretical powder diffractogram. Radiation: a wavelength of 1.5418 Å. Structure: the GGA-PBE geometry in Alexandria.
Peak positions follow from Bragg's law for the DFT cell and can differ from measured ones.

Structure:
```
data_Tb12Ho5Tm2
_chemical_formula_sum 'Tb12 Ho5 Tm2'
_cell_length_a 6.3081
_cell_length_b 8.9897
_cell_length_c 11.5901
_cell_angle_alpha 69.18
_cell_angle_beta 88.30
_cell_angle_gamma 80.67
_symmetry_space_group_name_H-M 'P -1'
_symmetry_Int_Tables_number 2
loop_
_symmetry_equiv_pos_as_xyz
'x,y,z'
'-x,-y,-z'
loop_
_atom_site_label
_atom_site_type_symbol
_atom_site_fract_x
_atom_site_fract_y
_atom_site_fract_z
Tb1 Tb 0.0357 0.1994 0.1398
Tb2 Tb 0.1532 0.5266 0.1865
Tb3 Tb 0.2137 0.1856 0.7674
Tb4 Tb 0.2783 0.8304 0.3467
Tb5 Tb 0.4264 0.5568 0.6244
Tb6 Tb 0.4578 0.8215 0.7635
Ho1 Ho 0.0000 0.5000 0.5000
Ho2 Ho 0.2117 0.1334 0.4773
Ho3 Ho 0.2846 0.9042 0.0400
Tm1 Tm 0.3393 0.4301 0.9306
```

Peak list (10 most intense, 10° ≤ 2θ ≤ 90°, most intense first)
2θ (°), I (rel.), index
32.39, 100.0, 0 3 0
32.52, 69.1, 1 1 -3
31.39, 61.5, -1 2 3
28.97, 45.0, 1 0 3
33.83, 37.9, 1 1 4
30.93, 34.0, 0 1 4
34.59, 33.9, 2 -1 1
30.65, 25.1, 0 3 2
31.50, 20.7, 0 2 -2
34.27, 18.5, 1 3 3


This entry pairs a crystal structure of Tb5Ho4Tm4 with its theoretical powder diffractogram. Radiation: a wavelength of 1.5418 Å. Structure: the GGA-PBE geometry in Alexandria.
Peak positions follow from Bragg's law for the DFT cell and can differ from measured ones.

Structure:
```
data_Tb5Ho4Tm4
_chemical_formula_sum 'Tb10 Ho8 Tm8'
_cell_length_a 12.6896
_cell_length_b 12.6896
_cell_length_c 4.9726
_cell_angle_alpha 90.00
_cell_angle_beta 90.00
_cell_angle_gamma 90.00
_symmetry_space_group_name_H-M 'I 4/m'
_symmetry_Int_Tables_number 87
_symmetry_space_group_name_Hall '-I 4'
loop_
_atom_site_label
_atom_site_type_symbol
_atom_site_fract_x
_atom_site_fract_y
_atom_site_fract_z
Tb1 Tb 0.0000 0.0000 0.0000
Tb2 Tb 0.0386 0.1935 0.5000
Ho1 Ho 0.1541 0.7684 0.0000
Tm1 Tm 0.0764 0.3856 0.0000
```

Peak list (8 most intense, 10° ≤ 2θ ≤ 90°, most intense first)
2θ (°), I (rel.), index
31.13, 100.0, 3 2 1
36.10, 50.6, 1 5 0
61.84, 42.6, 8 1 1
51.98, 35.9, 6 4 0
84.96, 17.9, 9 6 1
87.72, 16.8, 2 10 2
64.92, 12.3, 6 4 2
76.60, 5.7, 0 0 4


This entry pairs a crystal structure of Tb8HoTm3 with its theoretical powder diffractogram. Radiation: a wavelength of 1.5418 Å. Structure: the GGA-PBE geometry in Alexandria.
Peak positions follow from Bragg's law for the DFT cell and can differ from measured ones.

Structure:
```
data_Tb8HoTm3
_chemical_formula_sum 'Tb16 Ho2 Tm6'
_cell_length_a 7.6327
_cell_length_b 7.6327
_cell_length_c 15.2610
_cell_angle_alpha 90.00
_cell_angle_beta 90.00
_cell_angle_gamma 90.00
_symmetry_space_group_name_H-M 'I 4/m m m'
_symmetry_Int_Tables_number 139
_symmetry_space_group_name_Hall '-I 4 2'
loop_
_atom_site_label
_atom_site_type_symbol
_atom_site_fract_x
_atom_site_fract_y
_atom_site_fract_z
Tb1 Tb 0.2503 0.2503 0.1251
Ho1 Ho 0.0000 0.0000 0.0000
Tm1 Tm 0.0000 0.0000 0.5000
Tm2 Tm 0.0000 0.5000 0.2500
```

Peak list (10 most intense, 10° ≤ 2θ ≤ 90°, most intense first)
2θ (°), I (rel.), index
33.20, 100.0, 2 2 0
59.32, 38.1, 4 2 4
20.15, 27.6, 1 1 2
47.66, 18.3, 4 0 0
79.41, 16.5, 6 2 0
39.15, 15.3, 3 1 2
69.70, 11.8, 4 4 0
23.31, 11.7, 2 0 0
52.25, 6.7, 3 3 2
63.32, 5.0, 5 1 2